For MgGe2WO6, DFT lattice parameters and positions (PBE+U) gives the simulated PXRD pattern in this record (Cu Kα, 1.54184 Å).

Cell: 8.5183 8.5183 5.0061 Å, 95.38 95.38 64.22°
Element x y z (fractional)
1 Mg 0.1135 0.8865 0.7500
2 Mg 0.8865 0.1135 0.2500
3 Ge 0.0535 0.2786 0.7273
4 Ge 0.2786 0.0535 0.2273
5 Ge 0.7214 0.9465 0.7727
6 Ge 0.9465 0.7214 0.2727
7 W 0.3986 0.6014 0.2500
8 W 0.6014 0.3986 0.7500
9 O 0.0571 0.1377 0.0054
10 O 0.1377 0.0571 0.5054
11 O 0.1826 0.6855 0.4226
12 O 0.3145 0.8174 0.0774
13 O 0.3655 0.4790 0.9282
14 O 0.4790 0.3655 0.4282
15 O 0.5210 0.6345 0.5718
16 O 0.6345 0.5210 0.0718
17 O 0.6855 0.1826 0.9226
18 O 0.8174 0.3145 0.5774
19 O 0.8623 0.9429 0.4946
20 O 0.9429 0.8623 0.9946

Main lines, in order of falling intensity (10 to 90 degrees two-theta):
2θ/deg  I (rel.)
21.01  100
12.34  95
28.57  60
30.29  38
21.87  38
35.28  30
20.71  29
38.11  28